[1]
Computed powder diffractogram of Y4Ti2Nb2O15 for Cu Kα X-rays, from a cell relaxed with PBE.

Principal peaks in the range 2θ = 5–70°, in order of rising 2θ:
| d (Å) | two_theta | I/Imax | h k l |
| --- | --- | --- | --- |
| 2.992 | 29.87 | 100 | 0 2 2 |
| 2.962 | 30.18 | 98 | 2 0 2 |
| 2.578 | 34.80 | 42 | 0 0 4 |
| 1.836 | 49.65 | 18 | 0 4 0 |
| 1.823 | 50.04 | 72 | 2 2 4 |
| 1.809 | 50.45 | 18 | 4 0 0 |
| 1.561 | 59.20 | 26 | 2 4 2 |
| 1.557 | 59.36 | 13 | 0 2 6 |
| 1.553 | 59.54 | 13 | 2 0 6 |
| 1.548 | 59.74 | 26 | 4 2 2 |

Atomic structure:
```
data_Y4Ti2Nb2O15
_chemical_formula_sum 'Y8 Ti4 Nb4 O30'
_cell_length_a 7.2351
_cell_length_b 7.3452
_cell_length_c 10.3146
_cell_angle_alpha 90.00
_cell_angle_beta 90.00
_cell_angle_gamma 90.00
_space_group_name_H-M_alt 'I m m 2'
_space_group_IT_number 44
loop_
_space_group_symop_operation_xyz
'x,y,z'
'-x,-y,z'
'-x,y,z'
'x,-y,z'
'x+1/2,y+1/2,z+1/2'
'-x+1/2,-y+1/2,z+1/2'
'-x+1/2,y+1/2,z+1/2'
'x+1/2,-y+1/2,z+1/2'
loop_
_atom_site_label
_atom_site_type_symbol
_atom_site_fract_x
_atom_site_fract_y
_atom_site_fract_z
_atom_site_occupancy
Y1 Y 0.0000 0.2437 0.0000 1
Y2 Y 0.2474 0.0000 0.7551 1
Ti1 Ti 0.2384 0.0000 0.2591 1
Nb1 Nb 0.0000 0.2364 0.4955 1
O1 O 0.0000 0.0000 0.1495 1
O2 O 0.0000 0.0000 0.3806 1
O3 O 0.0000 0.0000 0.6112 1
O4 O 0.0000 0.0000 0.8778 1
O5 O 0.0000 0.5000 0.1250 1
O6 O 0.0000 0.5000 0.4239 1
O7 O 0.0000 0.5000 0.8220 1
O8 O 0.1997 0.3017 0.6238 1
O9 O 0.2310 0.2306 0.3721 1
```


[2]
Computed powder diffractogram of TiNb2ZnO8 for Cu Kα X-rays, from a cell relaxed with PBE.

Principal peaks in the range 2θ = 5–70°, in order of rising 2θ:
| d (Å) | two_theta | I/Imax | h k l |
| --- | --- | --- | --- |
| 3.671 | 24.25 | 53 | 1 1 0 |
| 2.994 | 29.84 | 100 | 1 1 -1 |
| 2.937 | 30.43 | 94 | 1 1 1 |
| 2.901 | 30.82 | 23 | 0 2 0 |
| 2.514 | 35.71 | 45 | 0 0 2 |
| 1.791 | 51.00 | 24 | 1 3 0 |
| 1.735 | 52.75 | 19 | 2 2 -1 |
| 1.713 | 53.49 | 19 | 2 2 1 |
| 1.469 | 63.31 | 18 | 3 1 -1 |
| 1.452 | 64.14 | 28 | 0 2 3 |

Atomic structure:
```
data_TiNb2ZnO8
_chemical_formula_sum 'Ti1 Nb2 Zn1 O8'
_cell_length_a 4.7414
_cell_length_b 5.8021
_cell_length_c 5.0327
_cell_angle_alpha 90.00
_cell_angle_beta 91.48
_cell_angle_gamma 90.00
_space_group_name_H-M_alt 'P 1 2 1'
_space_group_IT_number 3
loop_
_space_group_symop_operation_xyz
'x,y,z'
'-x,y,-z'
loop_
_atom_site_label
_atom_site_type_symbol
_atom_site_fract_x
_atom_site_fract_y
_atom_site_fract_z
_atom_site_occupancy
Ti1 Ti 0.0000 0.0000 0.0000 1
Nb1 Nb 0.0000 0.6438 0.5000 1
Nb2 Nb 0.5000 0.1485 0.5000 1
Zn1 Zn 0.5000 0.5231 0.0000 1
O1 O 0.2090 0.7321 0.1833 1
O2 O 0.2353 0.9543 0.6793 1
O3 O 0.2587 0.2040 0.1769 1
O4 O 0.2744 0.4441 0.6574 1
```


[3]
Computed powder diffractogram of Nb8Tl8O25 for Cu Kα X-rays, from a cell relaxed with PBE.

Principal peaks in the range 2θ = 5–70°, in order of rising 2θ:
| d (Å) | two_theta | I/Imax | h k l |
| --- | --- | --- | --- |
| 6.243 | 14.19 | 8 | 0 0 2 |
| 3.260 | 27.36 | 8 | 3 1 1 |
| 3.121 | 28.60 | 100 | 0 0 4 |
| 2.703 | 33.14 | 39 | 2 2 2 |
| 2.481 | 36.21 | 10 | 1 1 -5 |
| 2.081 | 43.49 | 6 | 1 3 3 |
| 1.911 | 47.57 | 41 | 4 0 4 |
| 1.630 | 56.45 | 43 | 4 4 0 |
| 1.561 | 59.20 | 12 | 4 4 -4 |
| 1.352 | 69.55 | 6 | 4 4 4 |

Atomic structure:
```
data_Nb8Tl8O25
_chemical_formula_sum 'Nb16 Tl16 O50'
_cell_length_a 13.2447
_cell_length_b 7.6500
_cell_length_c 13.2338
_cell_angle_alpha 90.00
_cell_angle_beta 109.48
_cell_angle_gamma 90.00
_space_group_name_H-M_alt 'C 1 m 1'
_space_group_IT_number 8
loop_
_space_group_symop_operation_xyz
'x,y,z'
'x,-y,z'
'x+1/2,y+1/2,z'
'x+1/2,-y+1/2,z'
loop_
_atom_site_label
_atom_site_type_symbol
_atom_site_fract_x
_atom_site_fract_y
_atom_site_fract_z
_atom_site_occupancy
Nb1 Nb 0.0000 0.0000 0.0000 1
Nb2 Nb 0.0000 0.2498 0.2492 1
Nb3 Nb 0.9999 0.2503 0.7492 1
Nb4 Nb 0.9997 0.5000 0.4990 1
Nb5 Nb 0.2499 0.0000 0.2493 1
Nb6 Nb 0.2499 0.5000 0.7494 1
Tl1 Tl 0.0033 0.5000 0.9996 1
Tl2 Tl 0.2444 0.2339 0.5042 1
Tl3 Tl 0.2449 0.5000 0.2363 1
Tl4 Tl 0.2480 0.0000 0.7464 1
Tl5 Tl 0.2480 0.2554 0.9998 1
Tl6 Tl 0.4842 0.5000 0.4946 1
O1 O 0.0294 0.5000 0.2178 1
O2 O 0.0303 0.0000 0.7182 1
O3 O 0.0303 0.1863 0.9047 1
O4 O 0.0297 0.3132 0.4047 1
O5 O 0.1552 0.0000 0.0927 1
O6 O 0.1550 0.1858 0.2796 1
O7 O 0.1556 0.3132 0.7803 1
O8 O 0.1557 0.5000 0.5933 1
O9 O 0.3119 0.0000 0.9360 1
O10 O 0.3440 0.1854 0.2176 1
O11 O 0.3444 0.3143 0.7192 1
O12 O 0.3438 0.5000 0.9048 1
O13 O 0.3446 0.0000 0.4040 1
O14 O 0.4687 0.0000 0.7803 1
O15 O 0.4688 0.1852 0.5939 1
O16 O 0.4685 0.3132 0.0927 1
O17 O 0.4693 0.5000 0.2788 1
```


[4]
Computed powder diffractogram of NbTlO3 for Cu Kα X-rays, from a cell relaxed with PBE.

Principal peaks in the range 2θ = 5–70°, in order of rising 2θ:
| d (Å) | two_theta | I/Imax | h k l |
| --- | --- | --- | --- |
| 4.109 | 21.63 | 10 | 1 0 0 |
| 2.905 | 30.78 | 100 | 1 1 0 |
| 2.372 | 37.93 | 12 | 1 1 1 |
| 2.054 | 44.08 | 28 | 2 0 0 |
| 1.837 | 49.62 | 6 | 2 1 0 |
| 1.677 | 54.72 | 41 | 2 1 1 |
| 1.453 | 64.11 | 18 | 2 2 0 |
| 1.370 | 68.52 | 3 | 3 0 0 |

Atomic structure:
```
data_NbTlO3
_chemical_formula_sum 'Nb1 Tl1 O3'
_cell_length_a 4.1086
_cell_length_b 4.1086
_cell_length_c 4.1086
_cell_angle_alpha 90.00
_cell_angle_beta 90.00
_cell_angle_gamma 90.00
_space_group_name_H-M_alt 'P m -3 m'
_space_group_IT_number 221
_space_group_name_Hall '-P 4 2 3'
loop_
_atom_site_label
_atom_site_type_symbol
_atom_site_fract_x
_atom_site_fract_y
_atom_site_fract_z
_atom_site_occupancy
Nb1 Nb 0.0000 0.0000 0.0000 1
Tl1 Tl 0.5000 0.5000 0.5000 1
O1 O 0.0000 0.0000 0.5000 1
```


[5]
Computed powder diffractogram of Nb2TlO7 for Cu Kα X-rays, from a cell relaxed with PBE.

Principal peaks in the range 2θ = 5–70°, in order of rising 2θ:
| d (Å) | two_theta | I/Imax | h k l |
| --- | --- | --- | --- |
| 6.222 | 14.23 | 24 | 0 1 1 |
| 6.111 | 14.50 | 46 | 1 0 1 |
| 5.439 | 16.30 | 54 | 0 0 2 |
| 3.111 | 28.69 | 100 | 0 2 2 |
| 3.055 | 29.23 | 91 | 2 0 2 |
| 2.646 | 33.88 | 39 | 2 2 0 |
| 2.379 | 37.81 | 22 | 2 2 2 |
| 1.896 | 47.97 | 72 | 0 4 0 |
| 1.611 | 57.17 | 27 | 2 4 2 |
| 1.588 | 58.09 | 27 | 4 2 2 |

Atomic structure:
```
data_Nb2TlO7
_chemical_formula_sum 'Nb8 Tl4 O28'
_cell_length_a 7.3859
_cell_length_b 7.5855
_cell_length_c 10.8786
_cell_angle_alpha 90.00
_cell_angle_beta 90.00
_cell_angle_gamma 90.00
_space_group_name_H-M_alt 'I m m a'
_space_group_IT_number 74
_space_group_name_Hall '-I 2b 2'
loop_
_atom_site_label
_atom_site_type_symbol
_atom_site_fract_x
_atom_site_fract_y
_atom_site_fract_z
_atom_site_occupancy
Nb1 Nb 0.0000 0.0000 0.0000 1
Nb2 Nb 0.2500 0.2500 0.2500 1
Tl1 Tl 0.2500 0.2500 0.7500 1
O1 O 0.0000 0.2500 0.3120 1
O2 O 0.0000 0.2500 0.6617 1
O3 O 0.0000 0.2500 0.9397 1
O4 O 0.1841 0.0586 0.1291 1
```


[6]
Computed powder diffractogram of NbTlO3 for Cu Kα X-rays, from a cell relaxed with PBE.

Principal peaks in the range 2θ = 5–70°, in order of rising 2θ:
| d (Å) | two_theta | I/Imax | h k l |
| --- | --- | --- | --- |
| 6.252 | 14.17 | 7 | 0 0 2 |
| 3.265 | 27.31 | 9 | 1 0 -3 |
| 3.126 | 28.55 | 100 | 0 0 4 |
| 2.707 | 33.09 | 39 | 0 2 -2 |
| 2.484 | 36.15 | 9 | 1 0 5 |
| 2.084 | 43.42 | 6 | 3 3 4 |
| 1.914 | 47.49 | 38 | 0 2 6 |
| 1.633 | 56.36 | 40 | 2 0 -6 |
| 1.563 | 59.10 | 12 | 0 0 8 |
| 1.354 | 69.40 | 4 | 0 4 -4 |

Atomic structure:
```
data_NbTlO3
_chemical_formula_sum 'Nb8 Tl8 O24'
_cell_length_a 7.6540
_cell_length_b 7.6583
_cell_length_c 13.2576
_cell_angle_alpha 73.30
_cell_angle_beta 73.26
_cell_angle_gamma 60.04
_space_group_name_H-M_alt 'P 1'
_space_group_IT_number 1
loop_
_space_group_symop_operation_xyz
'x,y,z'
loop_
_atom_site_label
_atom_site_type_symbol
_atom_site_fract_x
_atom_site_fract_y
_atom_site_fract_z
_atom_site_occupancy
Nb1 Nb 0.0000 0.0000 0.0000 1
Nb2 Nb 0.0023 0.4947 0.0054 1
Nb3 Nb 0.2462 0.2550 0.7523 1
Nb4 Nb 0.4966 0.9959 0.5056 1
Nb5 Nb 0.4992 0.4984 0.4994 1
Nb6 Nb 0.5029 0.9918 0.0015 1
Nb7 Nb 0.7453 0.7524 0.2519 1
Nb8 Nb 0.9980 0.4945 0.5018 1
Tl1 Tl 0.2096 0.7689 0.7470 1
Tl2 Tl 0.2313 0.7758 0.2576 1
Tl3 Tl 0.2615 0.2656 0.2514 1
Tl4 Tl 0.4954 0.4913 0.0181 1
Tl5 Tl 0.7216 0.7275 0.7587 1
Tl6 Tl 0.7273 0.2704 0.7606 1
Tl7 Tl 0.7744 0.2311 0.2576 1
Tl8 Tl 0.9831 0.9952 0.5215 1
O1 O 0.0354 0.4009 0.6570 1
O2 O 0.0877 0.4625 0.8466 1
O3 O 0.0887 0.7159 0.9694 1
O4 O 0.0918 0.0900 0.8467 1
O5 O 0.2156 0.2113 0.4723 1
O6 O 0.2174 0.5837 0.4728 1
O7 O 0.2739 0.2786 0.0319 1
O8 O 0.2751 0.9083 0.0339 1
O9 O 0.4003 0.4041 0.6586 1
O10 O 0.4026 0.0292 0.6577 1
O11 O 0.4102 0.7737 0.5303 1
O12 O 0.4661 0.0929 0.8463 1
O13 O 0.5292 0.9050 0.1588 1
O14 O 0.5900 0.2131 0.4723 1
O15 O 0.5921 0.5863 0.3457 1
O16 O 0.5960 0.9585 0.3475 1
O17 O 0.7127 0.7177 0.9730 1
O18 O 0.7145 0.0882 0.9743 1
O19 O 0.7767 0.4027 0.5348 1
O20 O 0.7766 0.7729 0.5352 1
O21 O 0.9014 0.5292 0.1570 1
O22 O 0.9038 0.2769 0.0320 1
O23 O 0.9041 0.8965 0.1566 1
O24 O 0.9640 0.5889 0.3477 1
```


[7]
Computed powder diffractogram of NbTlO3 for Cu Kα X-rays, from a cell relaxed with PBE.

Principal peaks in the range 2θ = 5–70°, in order of rising 2θ:
| d (Å) | two_theta | I/Imax | h k l |
| --- | --- | --- | --- |
| 6.247 | 14.18 | 7 | 2 0 0 |
| 3.263 | 27.34 | 9 | 1 1 3 |
| 3.124 | 28.58 | 100 | 4 0 0 |
| 2.705 | 33.12 | 39 | 4 0 -4 |
| 2.482 | 36.18 | 9 | 5 1 -1 |
| 2.082 | 43.46 | 7 | 4 0 -6 |
| 1.913 | 47.53 | 38 | 4 0 4 |
| 1.631 | 56.40 | 40 | 2 2 6 |
| 1.562 | 59.15 | 11 | 0 0 8 |
| 1.353 | 69.49 | 5 | 8 0 -8 |

Atomic structure:
```
data_NbTlO3
_chemical_formula_sum 'Nb16 Tl16 O48'
_cell_length_a 13.2567
_cell_length_b 7.6498
_cell_length_c 13.2550
_cell_angle_alpha 90.00
_cell_angle_beta 109.52
_cell_angle_gamma 90.00
_space_group_name_H-M_alt 'C 1 c 1'
_space_group_IT_number 9
loop_
_space_group_symop_operation_xyz
'x,y,z'
'x,-y,z+1/2'
'x+1/2,y+1/2,z'
'x+1/2,-y+1/2,z+1/2'
loop_
_atom_site_label
_atom_site_type_symbol
_atom_site_fract_x
_atom_site_fract_y
_atom_site_fract_z
_atom_site_occupancy
Nb1 Nb 0.0000 0.0002 0.0000 1
Nb2 Nb 0.0002 0.2501 0.2506 1
Nb3 Nb 0.9999 0.5002 0.0000 1
Nb4 Nb 0.2505 0.2498 0.5002 1
Tl1 Tl 0.2416 0.0272 0.7531 1
Tl2 Tl 0.2419 0.2517 0.9805 1
Tl3 Tl 0.2535 0.4729 0.2422 1
Tl4 Tl 0.4804 0.2461 0.2419 1
O1 O 0.0290 0.0636 0.1549 1
O2 O 0.0292 0.2501 0.9684 1
O3 O 0.0313 0.4383 0.1562 1
O4 O 0.1550 0.2482 0.3442 1
O5 O 0.1549 0.4366 0.5291 1
O6 O 0.1562 0.0619 0.5314 1
O7 O 0.3441 0.2518 0.6551 1
O8 O 0.3440 0.4352 0.4682 1
O9 O 0.3452 0.0662 0.4703 1
O10 O 0.4680 0.0646 0.8440 1
O11 O 0.4683 0.2499 0.0293 1
O12 O 0.4704 0.4336 0.8454 1
```


Please write out number 4 again, unchanged.
Computed powder diffractogram of NbTlO3 for Cu Kα X-rays, from a cell relaxed with PBE.

Principal peaks in the range 2θ = 5–70°, in order of rising 2θ:
| d (Å) | two_theta | I/Imax | h k l |
| --- | --- | --- | --- |
| 4.109 | 21.63 | 10 | 1 0 0 |
| 2.905 | 30.78 | 100 | 1 1 0 |
| 2.372 | 37.93 | 12 | 1 1 1 |
| 2.054 | 44.08 | 28 | 2 0 0 |
| 1.837 | 49.62 | 6 | 2 1 0 |
| 1.677 | 54.72 | 41 | 2 1 1 |
| 1.453 | 64.11 | 18 | 2 2 0 |
| 1.370 | 68.52 | 3 | 3 0 0 |

Atomic structure:
```
data_NbTlO3
_chemical_formula_sum 'Nb1 Tl1 O3'
_cell_length_a 4.1086
_cell_length_b 4.1086
_cell_length_c 4.1086
_cell_angle_alpha 90.00
_cell_angle_beta 90.00
_cell_angle_gamma 90.00
_space_group_name_H-M_alt 'P m -3 m'
_space_group_IT_number 221
_space_group_name_Hall '-P 4 2 3'
loop_
_atom_site_label
_atom_site_type_symbol
_atom_site_fract_x
_atom_site_fract_y
_atom_site_fract_z
_atom_site_occupancy
Nb1 Nb 0.0000 0.0000 0.0000 1
Tl1 Tl 0.5000 0.5000 0.5000 1
O1 O 0.0000 0.0000 0.5000 1
```